Diffraction record for Er4SiCl5. The powder diffractogram is simulated, not measured: it uses a GGA-PBE-relaxed structure and a wavelength of 1.5418 Å.

Top 6 peaks for 15° ≤ 2θ ≤ 90°, by angle:
| two_theta | I/Imax |
| --- | --- |
| 27.8 | 37 |
| 31.7 | 48 |
| 32.0 | 100 |
| 45.5 | 35 |
| 45.8 | 32 |
| 57.4 | 20 |

Structure:
a b c (Å): 8.9085 8.9085 8.0259
angles (deg): 102.62 102.62 25.30
Atoms (fractional coordinates):
Er 0.0007 0.0007 0.2297
Er 0.3459 0.3459 0.9148
Er 0.6541 0.6541 0.0852
Er 0.9993 0.9993 0.7703
Si 0.5000 0.5000 0.0000
Cl 0.1665 0.1665 0.3242
Cl 0.1739 0.1739 0.8519
Cl 0.5000 0.5000 0.5000
Cl 0.8261 0.8261 0.1481
Cl 0.8335 0.8335 0.6758